# 1
Diffraction record for Tb5Nd5Th2. The PXRD pattern is calculated, not measured: it uses a crystal structure in Alexandria, relaxed with PBE and Cu Kα (λ = 1.5418 Å).

Most intense lines, 2θ from 5° to 70°, by intensity:
- (1 2 -1), 2θ 30.24, I 100
- (2 0 -2), 2θ 35.09, I 67
- (2 -1 1), 2θ 30.36, I 33
- (3 1 0), 2θ 50.55, I 24
- (3 2 -3), 2θ 60.02, I 24
- (1 3 -4), 2θ 50.44, I 16
- (2 1 -5), 2θ 59.88, I 15
- (-4 1 1), 2θ 60.12, I 14

Crystal structure
Lattice parameters (Å, degrees): 6.2496 8.0835 8.8684 111.19 90.20 104.91
Space group P-1 (No. 2)
Symmetry-distinct sites (fractional):
Tb 0.0000 0.0000 0.0000 x1
Tb 0.0870 0.7545 0.5828 x2
Tb 0.1665 0.5047 0.1688 x2
Nd 0.2488 0.2423 0.7456 x2
Nd 0.4178 0.7566 0.9184 x2
Nd 0.5000 0.5000 0.5000 x1
Th 0.3358 0.9983 0.3372 x2



# 2
Diffraction record for TaSi2Sb. The PXRD pattern is calculated, not measured: it uses a crystal structure in Alexandria, relaxed with PBE and Cu Kα (λ = 1.5418 Å).

Most intense lines, 2θ from 5° to 70°, by intensity:
- (1 0 2), 2θ 41.25, I 100
- (1 1 0), 2θ 35.31, I 84
- (1 0 1), 2θ 29.66, I 84
- (0 0 1), 2θ 16.06, I 47
- (2 1 2), 2θ 67.42, I 46
- (2 0 0), 2θ 50.79, I 30
- (2 1 1), 2θ 59.93, I 23
- (1 1 1), 2θ 39.01, I 22

Crystal structure
Lattice parameters (Å, degrees): 3.5951 3.5951 5.5181 90.00 90.00 90.00
Space group P4mm (No. 99)
Symmetry-distinct sites (fractional):
Ta 0.0000 0.0000 0.0000 x1
Si 0.0000 0.0000 0.5373 x1
Si 0.5000 0.5000 0.7981 x1
Sb 0.5000 0.5000 0.2968 x1



# 3
Diffraction record for Tl6HgBi2. The PXRD pattern is calculated, not measured: it uses a crystal structure in Alexandria, relaxed with PBE and Cu Kα (λ = 1.5418 Å).

Most intense lines, 2θ from 5° to 70°, by intensity:
- (1 0 5), 2θ 33.85, I 100
- (0 0 9), 2θ 30.87, I 40
- (1 0 0), 2θ 29.04, I 37
- (1 1 0), 2θ 51.48, I 34
- (1 0 4), 2θ 32.19, I 33
- (1 0 14), 2θ 57.91, I 29
- (1 1 9), 2θ 61.25, I 27
- (1 0 9), 2θ 42.90, I 19

Crystal structure
Lattice parameters (Å, degrees): 3.5502 3.5502 26.0614 90.00 90.00 120.00
Space group P-6m2 (No. 187)
Symmetry-distinct sites (fractional):
Tl 0.0000 0.0000 0.0684 x2
Tl 0.0000 0.0000 0.2870 x2
Tl 0.3333 0.6667 0.4008 x2
Hg 0.0000 0.0000 0.5000 x1
Bi 0.3333 0.6667 0.1769 x2



# 4
Diffraction record for PmNdHg6. The PXRD pattern is calculated, not measured: it uses a crystal structure in Alexandria, relaxed with PBE and Cu Kα (λ = 1.5418 Å).

Most intense lines, 2θ from 5° to 70°, by intensity:
- (1 2 2), 2θ 35.25, I 100
- (2 0 0), 2θ 35.43, I 81
- (2 2 6), 2θ 66.41, I 30
- (2 4 0), 2θ 66.08, I 26
- (0 2 2), 2θ 30.34, I 24
- (3 2 2), 2θ 63.55, I 20
- (0 2 6), 2θ 54.12, I 20
- (2 2 2), 2θ 47.36, I 14

Crystal structure
Lattice parameters (Å, degrees): 5.0610 6.8162 11.7185 90.00 90.00 90.00
Space group Amm2 (No. 38)
Symmetry-distinct sites (fractional):
Pm 0.0000 0.0000 0.0000 x2
Nd 0.5000 0.0000 0.3266 x2
Hg 0.0000 0.0000 0.4979 x2
Hg 0.0000 0.2412 0.7459 x4
Hg 0.5000 0.0000 0.8298 x2
Hg 0.5000 0.2429 0.5801 x4